# Th3TlF13
Computed powder diffractogram, Cu Ka. Input: a crystal structure in OQMD, relaxed with PBE.
No peak broadening, texture or thermal motion is included.

Atomic structure:
```
data_Th3TlF13
_chemical_formula_sum 'Th6 Tl2 F26'
_cell_length_a 8.043
_cell_length_b 7.331
_cell_length_c 8.534
_cell_angle_alpha 90.00
_cell_angle_beta 90.00
_cell_angle_gamma 90.00
_symmetry_space_group_name_H-M 'P m c 21'
_symmetry_Int_Tables_number 26
loop_
_symmetry_equiv_pos_as_xyz
'x,y,z'
'-x,-y,z+1/2'
'-x,y,z'
'x,-y,z+1/2'
loop_
_atom_site_label
_atom_site_fract_x
_atom_site_fract_y
_atom_site_fract_z
Th1 0.000 0.109 0.000
Th2 0.254 0.397 0.337
Tl1 0.500 0.101 0.698
F1 0.000 0.032 0.736
F2 0.000 0.364 0.180
F3 0.000 0.402 0.466
F4 0.176 0.300 0.859
F5 0.199 0.114 0.460
F6 0.262 0.175 0.141
F7 0.310 0.452 0.599
F8 0.500 0.223 0.372
F9 0.500 0.429 0.856
```

Peak list (12 most intense, 2θ from 15° to 90°, sorted by position)
- (1 1 1), 19.41 deg, I 40.5
- (1 0 2), 23.60 deg, I 42.6
- (0 1 2), 24.13 deg, I 53.7
- (2 1 0), 25.26 deg, I 100.0
- (0 2 1), 26.47 deg, I 76.7
- (1 1 2), 26.59 deg, I 36.7
- (2 1 1), 27.37 deg, I 60.0
- (1 2 1), 28.74 deg, I 32.0
- (2 0 2), 30.55 deg, I 38.0
- (0 1 4), 44.21 deg, I 29.1
- (2 3 1), 44.68 deg, I 50.3
- (2 2 3), 46.28 deg, I 76.7

# La2PrZn2Si4Au2
Computed powder diffractogram, Cu Ka. Input: a crystal structure in OQMD, relaxed with PBE.
No peak broadening, texture or thermal motion is included.

Atomic structure:
```
data_La2PrZn2Si4Au2
_chemical_formula_sum 'La4 Pr2 Zn4 Si8 Au4'
_cell_length_a 4.268
_cell_length_b 4.309
_cell_length_c 25.187
_cell_angle_alpha 90.00
_cell_angle_beta 90.00
_cell_angle_gamma 90.00
_symmetry_space_group_name_H-M 'I m m m'
_symmetry_Int_Tables_number 71
_symmetry_space_group_name_Hall '-I 2 2'
loop_
_atom_site_label
_atom_site_fract_x
_atom_site_fract_y
_atom_site_fract_z
La1 0.000 0.000 0.148
Pr1 0.000 0.500 0.000
Zn1 0.000 0.500 0.250
Si1 0.000 0.000 0.306
Si2 0.000 0.500 0.453
Au1 0.000 0.000 0.405
```

Peak list (12 most intense, 2θ from 15° to 90°, sorted by position)
- (0 1 1), 20.91 deg, I 16.1
- (1 0 5), 27.39 deg, I 24.9
- (1 1 0), 29.46 deg, I 14.5
- (1 0 7), 32.55 deg, I 33.9
- (1 1 4), 32.78 deg, I 100.0
- (0 1 9), 38.35 deg, I 16.7
- (0 2 0), 41.93 deg, I 21.8
- (2 0 0), 42.36 deg, I 21.2
- (0 1 11), 44.83 deg, I 21.3
- (1 2 7), 54.06 deg, I 16.0
- (2 2 0), 61.13 deg, I 14.2
- (2 1 11), 63.37 deg, I 14.3

# BiTeAuO
Computed powder diffractogram, Cu Ka. Input: a crystal structure in OQMD, relaxed with PBE.
No peak broadening, texture or thermal motion is included.

Atomic structure:
```
data_BiTeAuO
_chemical_formula_sum 'Bi4 Te4 Au4 O4'
_cell_length_a 7.364
_cell_length_b 7.190
_cell_length_c 6.953
_cell_angle_alpha 90.00
_cell_angle_beta 92.50
_cell_angle_gamma 90.00
_symmetry_space_group_name_H-M 'P 1 21/c 1'
_symmetry_Int_Tables_number 14
loop_
_symmetry_equiv_pos_as_xyz
'x,y,z'
'-x,-y,-z'
'-x,y+1/2,-z+1/2'
'x,-y+1/2,z+1/2'
loop_
_atom_site_label
_atom_site_fract_x
_atom_site_fract_y
_atom_site_fract_z
Bi1 0.085 0.050 0.224
Te1 0.315 0.510 0.187
Au1 0.430 0.669 0.541
O1 0.018 0.195 0.960
```

Peak list (12 most intense, 2θ from 15° to 90°, sorted by position)
- (2 1 0), 27.23 deg, I 40.6
- (1 2 0), 27.62 deg, I 30.4
- (1 0 2), 28.90 deg, I 81.8
- (2 1 -1), 29.71 deg, I 100.0
- (1 2 -1), 30.29 deg, I 26.8
- (1 1 -2), 30.62 deg, I 35.4
- (0 2 2), 35.95 deg, I 60.4
- (0 3 1), 39.79 deg, I 20.5
- (3 1 1), 41.53 deg, I 40.7
- (1 3 1), 41.89 deg, I 22.0
- (2 1 -3), 47.19 deg, I 26.4
- (2 3 1), 47.43 deg, I 26.8

# Ag2AsS2
Computed powder diffractogram, Cu Ka. Input: a crystal structure in OQMD, relaxed with PBE.
No peak broadening, texture or thermal motion is included.

Atomic structure:
```
data_Ag2AsS2
_chemical_formula_sum 'Ag16 As8 S16'
_cell_length_a 9.776
_cell_length_b 13.106
_cell_length_c 6.927
_cell_angle_alpha 90.00
_cell_angle_beta 98.94
_cell_angle_gamma 90.00
_symmetry_space_group_name_H-M 'P 1 c 1'
_symmetry_Int_Tables_number 7
loop_
_symmetry_equiv_pos_as_xyz
'x,y,z'
'x,-y,z+1/2'
loop_
_atom_site_label
_atom_site_fract_x
_atom_site_fract_y
_atom_site_fract_z
Ag1 0.000 0.004 0.000
Ag2 0.118 0.294 0.156
Ag3 0.119 0.182 0.730
Ag4 0.200 0.405 0.571
Ag5 0.397 0.096 0.270
Ag6 0.515 0.393 0.480
Ag7 0.729 0.104 0.749
Ag8 0.851 0.406 0.976
As1 0.464 0.334 0.036
As2 0.474 0.188 0.793
As3 0.775 0.184 0.198
As4 0.786 0.325 0.455
S1 0.004 0.132 0.256
S2 0.248 0.402 0.951
S3 0.317 0.081 0.899
S4 0.352 0.245 0.504
S5 0.588 0.435 0.864
S6 0.670 0.069 0.367
S7 0.890 0.254 0.739
S8 0.953 0.420 0.347
```

Peak list (12 most intense, 2θ from 15° to 90°, sorted by position)
- (0 1 2), 26.93 deg, I 69.7
- (3 0 0), 27.73 deg, I 40.0
- (3 1 0), 28.55 deg, I 100.0
- (2 3 -1), 29.25 deg, I 98.4
- (2 0 -2), 29.60 deg, I 30.9
- (1 1 2), 29.82 deg, I 37.8
- (1 4 -1), 31.00 deg, I 76.5
- (1 4 1), 32.27 deg, I 33.3
- (0 3 2), 33.26 deg, I 75.6
- (2 2 -3), 43.44 deg, I 46.9
- (3 4 -2), 45.03 deg, I 40.2
- (5 2 -1), 48.99 deg, I 33.7

# ZnMo
Computed powder diffractogram, Cu Ka. Input: a crystal structure in OQMD, relaxed with PBE.
No peak broadening, texture or thermal motion is included.

Atomic structure:
```
data_ZnMo
_chemical_formula_sum 'Zn6 Mo6'
_cell_length_a 4.586
_cell_length_b 8.543
_cell_length_c 4.638
_cell_angle_alpha 90.00
_cell_angle_beta 90.00
_cell_angle_gamma 90.00
_symmetry_space_group_name_H-M 'P m c 21'
_symmetry_Int_Tables_number 26
loop_
_symmetry_equiv_pos_as_xyz
'x,y,z'
'-x,-y,z+1/2'
'-x,y,z'
'x,-y,z+1/2'
loop_
_atom_site_label
_atom_site_fract_x
_atom_site_fract_y
_atom_site_fract_z
Zn1 0.000 0.078 0.000
Zn2 0.000 0.245 0.457
Zn3 0.500 0.246 0.866
Mo1 0.000 0.426 0.933
Mo2 0.500 0.079 0.353
Mo3 0.500 0.417 0.386
```

Peak list (12 most intense, 2θ from 15° to 90°, sorted by position)
- (0 3 1), 37.04 deg, I 6.7
- (0 0 2), 38.83 deg, I 23.3
- (2 0 0), 39.30 deg, I 34.3
- (1 3 1), 42.13 deg, I 100.0
- (1 0 2), 43.74 deg, I 14.0
- (2 0 2), 56.43 deg, I 15.0
- (0 6 0), 65.56 deg, I 6.8
- (0 3 3), 69.13 deg, I 5.9
- (1 3 3), 72.56 deg, I 7.7
- (3 3 1), 73.18 deg, I 18.4
- (2 6 0), 79.19 deg, I 7.9
- (2 3 3), 82.52 deg, I 7.2

# CuAg4
Computed powder diffractogram, Cu Ka. Input: a crystal structure in OQMD, relaxed with PBE.
No peak broadening, texture or thermal motion is included.

Atomic structure:
```
data_CuAg4
_chemical_formula_sum 'Cu5 Ag20'
_cell_length_a 4.982
_cell_length_b 7.609
_cell_length_c 11.100
_cell_angle_alpha 92.48
_cell_angle_beta 93.71
_cell_angle_gamma 90.08
_symmetry_space_group_name_H-M 'P 1'
_symmetry_Int_Tables_number 1
loop_
_symmetry_equiv_pos_as_xyz
'x,y,z'
loop_
_atom_site_label
_atom_site_fract_x
_atom_site_fract_y
_atom_site_fract_z
Cu1 0.000 0.000 0.000
Cu2 0.061 0.324 0.479
Cu3 0.229 0.951 0.439
Cu4 0.621 0.409 0.593
Cu5 0.915 0.677 0.519
Ag1 0.024 0.153 0.248
Ag2 0.126 0.484 0.702
Ag3 0.160 0.644 0.956
Ag4 0.190 0.799 0.202
Ag5 0.303 0.133 0.662
Ag6 0.316 0.279 0.916
Ag7 0.351 0.437 0.162
Ag8 0.378 0.594 0.409
Ag9 0.451 0.768 0.632
Ag10 0.490 0.926 0.879
Ag11 0.510 0.076 0.120
Ag12 0.532 0.235 0.372
Ag13 0.642 0.559 0.830
Ag14 0.682 0.719 0.078
Ag15 0.707 0.870 0.328
Ag16 0.786 0.042 0.555
Ag17 0.811 0.203 0.794
Ag18 0.838 0.352 0.039
Ag19 0.865 0.512 0.288
Ag20 0.974 0.846 0.757
```

Peak list (12 most intense, 2θ from 15° to 90°, sorted by position)
- (1 0 4), 38.24 deg, I 34.6
- (-1 2 3), 38.41 deg, I 100.0
- (2 -2 1), 44.45 deg, I 44.6
- (1 1 -5), 44.88 deg, I 19.5
- (3 1 3), 64.57 deg, I 6.7
- (-1 5 1), 64.82 deg, I 13.2
- (1 -3 6), 64.95 deg, I 6.2
- (-3 1 4), 65.13 deg, I 11.4
- (0 5 5), 77.69 deg, I 7.8
- (2 -5 3), 77.82 deg, I 11.2
- (-3 4 2), 77.90 deg, I 7.4
- (-2 1 8), 78.42 deg, I 6.0

# La2Dy2CBr4Cl
Computed powder diffractogram, Cu Ka. Input: a crystal structure in OQMD, relaxed with PBE.
No peak broadening, texture or thermal motion is included.

Atomic structure:
```
data_La2Dy2CBr4Cl
_chemical_formula_sum 'La4 Dy4 C2 Br8 Cl2'
_cell_length_a 18.259
_cell_length_b 3.927
_cell_length_c 8.352
_cell_angle_alpha 90.00
_cell_angle_beta 102.58
_cell_angle_gamma 90.00
_symmetry_space_group_name_H-M 'C 1 2/m 1'
_symmetry_Int_Tables_number 12
loop_
_symmetry_equiv_pos_as_xyz
'x,y,z'
'-x,-y,-z'
'-x,y,-z'
'x,-y,z'
'x+1/2,y+1/2,z'
'-x+1/2,-y+1/2,-z'
'-x+1/2,y+1/2,-z'
'x+1/2,-y+1/2,z'
loop_
_atom_site_label
_atom_site_fract_x
_atom_site_fract_y
_atom_site_fract_z
La1 0.002 0.000 0.285
Dy1 0.135 0.500 0.572
C1 0.000 0.500 0.500
Br1 0.169 0.000 0.828
Br2 0.175 0.000 0.348
Cl1 0.000 0.500 0.000
```

Peak list (12 most intense, 2θ from 15° to 90°, sorted by position)
- (4 0 -1), 20.53 deg, I 13.2
- (6 0 0), 30.09 deg, I 36.1
- (3 1 1), 30.61 deg, I 17.0
- (1 1 -2), 31.27 deg, I 100.0
- (4 0 2), 32.85 deg, I 14.3
- (6 0 -2), 33.23 deg, I 15.4
- (5 1 0), 33.97 deg, I 39.3
- (1 1 -3), 39.76 deg, I 18.4
- (2 0 -4), 43.34 deg, I 17.0
- (5 1 2), 43.77 deg, I 25.4
- (7 1 -2), 44.12 deg, I 22.9
- (0 2 0), 46.24 deg, I 17.5